No. 1
Computed powder diffraction line list
Compound: ZrSbAs
Radiation: λ = 1.5418 Å (Cu Kα)
Structure: the PBE geometry in OQMD
Lines closer than 0.1° are merged.

Main lines, most intense first (15 to 90 degrees two-theta):
33.30°, d 2.691, intensity 100; 38.07°, d 2.363, intensity 62; 45.25°, d 2.004, intensity 43; 31.33°, d 2.855, intensity 43; 56.07°, d 1.640, intensity 32; 75.89°, d 1.254, intensity 18; 43.32°, d 2.089, intensity 18; 53.64°, d 1.709, intensity 17

Cell and atoms:
```
data_ZrSbAs
_chemical_formula_sum 'Zr4 Sb4 As4'
_cell_length_a 4.0078
_cell_length_b 4.0078
_cell_length_c 17.1328
_cell_angle_alpha 90.00
_cell_angle_beta 90.00
_cell_angle_gamma 90.00
_symmetry_space_group_name_H-M 'I 4/m m m'
_symmetry_Int_Tables_number 139
_symmetry_space_group_name_Hall '-I 4 2'
loop_
_atom_site_label
_atom_site_type_symbol
_atom_site_fract_x
_atom_site_fract_y
_atom_site_fract_z
Zr1 Zr 0.0000 0.0000 0.1490
Sb1 Sb 0.0000 0.5000 0.0000
As1 As 0.0000 0.0000 0.3109
```



No. 2
Computed powder diffraction line list
Compound: LiH12AuC4S4O12
Radiation: λ = 1.5418 Å (Cu Kα)
Structure: the PBE geometry in OQMD
Lines closer than 0.1° are merged.

Main lines, most intense first (15 to 90 degrees two-theta):
23.69°, d 3.756, intensity 100; 24.05°, d 3.700, intensity 87; 36.43°, d 2.466, intensity 43; 36.68°, d 2.450, intensity 38; 50.35°, d 1.812, intensity 37; 41.48°, d 2.177, intensity 37; 27.27°, d 3.270, intensity 34; 30.59°, d 2.922, intensity 32

Cell and atoms:
```
data_LiH12AuC4S4O12
_chemical_formula_sum 'Li2 H24 Au2 C8 S8 O24'
_cell_length_a 9.2488
_cell_length_b 9.2488
_cell_length_c 8.9745
_cell_angle_alpha 90.00
_cell_angle_beta 90.00
_cell_angle_gamma 90.00
_symmetry_space_group_name_H-M 'I -4'
_symmetry_Int_Tables_number 82
loop_
_symmetry_equiv_pos_as_xyz
'x,y,z'
'y,-x,-z'
'-x,-y,z'
'-y,x,-z'
'x+1/2,y+1/2,z+1/2'
'y+1/2,-x+1/2,-z+1/2'
'-x+1/2,-y+1/2,z+1/2'
'-y+1/2,x+1/2,-z+1/2'
loop_
_atom_site_label
_atom_site_type_symbol
_atom_site_fract_x
_atom_site_fract_y
_atom_site_fract_z
Li1 Li 0.0000 0.0000 0.0000
H1 H 0.0770 0.2850 0.4407
H2 H 0.1044 0.1219 0.3333
H3 H 0.1084 0.2952 0.2417
Au1 Au 0.0000 0.5000 0.7500
C1 C 0.1320 0.2365 0.3448
S1 S 0.1812 0.2531 0.8783
O1 O 0.1006 0.8566 0.1129
O2 O 0.1087 0.3103 0.7328
O3 O 0.1423 0.3459 0.0020
```



No. 3
Computed powder diffraction line list
Compound: Dy4CI4Cl
Radiation: λ = 1.5418 Å (Cu Kα)
Structure: the PBE geometry in OQMD
Lines closer than 0.1° are merged.

Main lines, most intense first (15 to 90 degrees two-theta):
31.66°, d 2.826, intensity 100; 28.47°, d 3.135, intensity 42; 33.10°, d 2.706, intensity 35; 42.96°, d 2.105, intensity 23; 43.23°, d 2.093, intensity 22; 46.62°, d 1.948, intensity 19; 30.30°, d 2.950, intensity 19; 23.31°, d 3.815, intensity 16

Cell and atoms:
```
data_Dy4CI4Cl
_chemical_formula_sum 'Dy8 C2 I8 Cl2'
_cell_length_a 19.2157
_cell_length_b 3.8965
_cell_length_c 8.2098
_cell_angle_alpha 90.00
_cell_angle_beta 101.82
_cell_angle_gamma 90.00
_symmetry_space_group_name_H-M 'C 1 2/m 1'
_symmetry_Int_Tables_number 12
loop_
_symmetry_equiv_pos_as_xyz
'x,y,z'
'-x,-y,-z'
'-x,y,-z'
'x,-y,z'
'x+1/2,y+1/2,z'
'-x+1/2,-y+1/2,-z'
'-x+1/2,y+1/2,-z'
'x+1/2,-y+1/2,z'
loop_
_atom_site_label
_atom_site_type_symbol
_atom_site_fract_x
_atom_site_fract_y
_atom_site_fract_z
Dy1 Dy 0.0009 0.0000 0.2977
Dy2 Dy 0.1273 0.5000 0.5636
C1 C 0.0000 0.5000 0.5000
I1 I 0.1612 0.0000 0.8509
I2 I 0.1663 0.0000 0.3118
Cl1 Cl 0.0000 0.5000 0.0000
```



No. 4
Computed powder diffraction line list
Compound: NdYTlNi2
Radiation: λ = 1.5418 Å (Cu Kα)
Structure: the PBE geometry in OQMD
Lines closer than 0.1° are merged.

Main lines, most intense first (15 to 90 degrees two-theta):
33.43°, d 2.681, intensity 100; 34.25°, d 2.618, intensity 67; 29.03°, d 3.076, intensity 42; 38.26°, d 2.353, intensity 39; 58.37°, d 1.581, intensity 29; 45.74°, d 1.984, intensity 22; 48.49°, d 1.877, intensity 18; 63.39°, d 1.467, intensity 17

Cell and atoms:
```
data_NdYTlNi2
_chemical_formula_sum 'Nd2 Y2 Tl2 Ni4'
_cell_length_a 3.7547
_cell_length_b 3.9674
_cell_length_c 14.6076
_cell_angle_alpha 90.00
_cell_angle_beta 90.00
_cell_angle_gamma 90.00
_symmetry_space_group_name_H-M 'A m m 2'
_symmetry_Int_Tables_number 38
loop_
_symmetry_equiv_pos_as_xyz
'x,y,z'
'-x,-y,z'
'-x,y,z'
'x,-y,z'
'x,y+1/2,z+1/2'
'-x,-y+1/2,z+1/2'
'-x,y+1/2,z+1/2'
'x,-y+1/2,z+1/2'
loop_
_atom_site_label
_atom_site_type_symbol
_atom_site_fract_x
_atom_site_fract_y
_atom_site_fract_z
Nd1 Nd 0.0000 0.0000 0.0000
Y1 Y 0.0000 0.0000 0.2762
Tl1 Tl 0.5000 0.0000 0.6413
Ni1 Ni 0.5000 0.0000 0.4338
Ni2 Ni 0.5000 0.0000 0.8376
```



No. 5
Computed powder diffraction line list
Compound: Li4Zn2InNi
Radiation: λ = 1.5418 Å (Cu Kα)
Structure: the PBE geometry in OQMD
Lines closer than 0.1° are merged.

Main lines, most intense first (15 to 90 degrees two-theta):
25.16°, d 3.539, intensity 100; 41.44°, d 2.179, intensity 62; 42.14°, d 2.144, intensity 32; 49.72°, d 1.834, intensity 30; 76.55°, d 1.245, intensity 19; 48.47°, d 1.878, intensity 14; 66.14°, d 1.413, intensity 11; 61.12°, d 1.516, intensity 10

Cell and atoms:
```
data_Li4Zn2InNi
_chemical_formula_sum 'Li4 Zn2 In1 Ni1'
_cell_length_a 4.2883
_cell_length_b 4.2883
_cell_length_c 6.2673
_cell_angle_alpha 90.00
_cell_angle_beta 90.00
_cell_angle_gamma 90.00
_symmetry_space_group_name_H-M 'P -4 m 2'
_symmetry_Int_Tables_number 115
loop_
_symmetry_equiv_pos_as_xyz
'x,y,z'
'y,-x,-z'
'-x,-y,z'
'-y,x,-z'
'-x,y,z'
'-y,-x,-z'
'x,-y,z'
'y,x,-z'
loop_
_atom_site_label
_atom_site_type_symbol
_atom_site_fract_x
_atom_site_fract_y
_atom_site_fract_z
Li1 Li 0.0000 0.0000 0.0000
Li2 Li 0.0000 0.5000 0.2203
Li3 Li 0.5000 0.5000 0.5000
Zn1 Zn 0.0000 0.5000 0.7847
In1 In 0.0000 0.0000 0.5000
Ni1 Ni 0.5000 0.5000 0.0000
```